1.
Diffraction record for Mn2VFe3P6O24. The PXRD pattern is calculated, not measured: it uses a cell relaxed with PBE+U and Cu Kα X-rays.
Intensities are scaled so that the largest is 100.

Structure:
```
36
Lattice="4.321 2.495 7.036 -4.321 2.495 7.036 0.000 -4.990 7.036" Properties=species:S:1:pos:R:3 pbc="T T T"
Mn 0.000 0.000 0.000
Mn 0.000 0.000 10.534
V 0.000 0.000 13.646
Fe 0.000 0.000 3.092
Fe 0.000 0.000 7.494
Fe 0.000 0.000 18.097
P -1.787 -2.503 8.839
P -3.041 0.301 12.350
P -1.274 2.799 8.839
P 1.260 -2.784 12.350
P 3.061 -0.297 8.839
P 1.781 2.483 12.350
O -2.643 -2.543 10.086
O -0.938 -3.771 8.637
O -3.641 -1.123 12.445
O -1.699 -0.045 6.581
O -3.392 1.045 11.062
O -0.901 -1.241 8.909
O -2.797 2.698 8.637
O 0.889 -1.449 6.581
O 0.791 -3.460 11.062
O -1.460 0.116 12.298
O -0.624 1.401 8.909
O 0.810 1.494 6.581
O -0.747 -1.381 14.601
O 0.629 -1.322 12.298
O 1.525 -0.160 8.909
O -0.881 3.561 10.086
O -0.822 1.338 14.601
O 2.793 -2.592 12.445
O 0.830 1.206 12.298
O 3.524 -1.017 10.086
O 1.569 0.043 14.601
O 3.735 1.074 8.637
O 0.848 3.715 12.445
O 2.601 2.415 11.062
```

Most intense lines, 2θ = 10–90°, sorted by position:
d [Å]  intensity
4.320  92
3.682  100
3.527  14
2.804  15
2.728  77
2.495  39
1.930  28
1.841  29
1.633  38
1.481  21

2.
Diffraction record for Li9Mn2Co5O16. The PXRD pattern is calculated, not measured: it uses a cell relaxed with PBE+U and Cu Kα X-rays.
Intensities are scaled so that the largest is 100.

Structure:
```
32
Lattice="5.158 0.000 0.000 1.676 5.589 0.000 1.610 -0.425 10.054" Properties=species:S:1:pos:R:3 pbc="T T T"
Li 0.000 0.000 0.000
Li 4.989 3.146 8.866
Li 3.325 0.544 3.704
Li 4.172 0.339 8.870
Li 4.187 3.332 3.669
Li 4.257 1.832 6.385
Li 4.272 4.824 1.184
Li 5.119 4.620 6.350
Li 3.454 2.018 1.188
Mn 0.805 -0.213 5.027
Mn 1.643 2.582 5.027
Co 0.838 2.795 0.000
Co 1.664 1.036 7.644
Co 0.851 1.263 2.360
Co 7.592 3.901 7.694
Co 6.780 4.127 2.410
O 2.379 2.395 3.253
O 3.173 3.643 5.622
O 2.359 0.851 5.566
O 3.250 5.129 3.266
O 2.404 3.740 0.661
O 4.112 4.959 8.043
O 1.673 1.025 0.744
O 3.289 2.132 8.172
O 5.154 3.032 1.882
O 6.771 4.139 9.310
O 4.332 0.204 2.011
O 6.040 1.423 9.393
O 5.194 0.035 6.788
O 6.085 4.312 4.488
O 5.271 1.520 4.433
O 6.065 2.769 6.801
```

Most intense lines, 2θ = 10–90°, sorted by position:
d [Å]  intensity
4.874  100
2.514  13
2.500  14
2.486  13
2.099  27
2.084  28
2.071  27
1.918  9
1.486  7
1.459  7

3.
Diffraction record for MgVP2O7. The PXRD pattern is calculated, not measured: it uses a cell relaxed with PBE+U and Cu Kα X-rays.
Intensities are scaled so that the largest is 100.

Structure:
```
11
Lattice="4.908 0.000 0.000 -0.392 5.126 0.000 -1.328 -1.408 5.557" Properties=species:S:1:pos:R:3 pbc="T T T"
Mg 0.000 0.000 0.000
V -0.555 4.201 3.039
P 1.984 4.006 0.544
P 2.183 1.179 4.038
O 0.740 3.607 1.318
O 0.227 3.579 4.988
O 1.183 0.761 2.983
O 1.319 1.285 5.454
O 3.126 4.686 1.339
O 2.822 2.564 3.852
O 3.272 0.131 4.372
```

Most intense lines, 2θ = 10–90°, sorted by position:
d [Å]  intensity
5.557  33
4.969  67
4.261  65
3.682  27
3.298  22
3.225  100
3.086  51
3.053  42
2.205  24
2.077  23

4.
Diffraction record for Sr5La5Mn9CuO30. The PXRD pattern is calculated, not measured: it uses a cell relaxed with PBE+U and Cu Kα X-rays.
Intensities are scaled so that the largest is 100.

Structure:
```
50
Lattice="5.478 0.000 0.000 2.738 4.810 0.000 2.715 1.212 22.499" Properties=species:S:1:pos:R:3 pbc="T T T"
Sr 0.000 0.000 0.000
Sr 2.696 1.331 15.801
Sr 2.712 1.560 2.215
Sr 5.457 2.892 18.001
Sr 8.191 4.693 6.738
La 2.733 1.442 8.963
La 5.462 3.011 11.213
La 5.431 3.129 4.446
La 8.212 4.457 20.256
La 8.167 4.572 13.545
Mn 2.707 1.269 19.116
Mn 2.692 1.383 12.381
Mn 2.711 1.509 5.599
Mn 5.442 2.832 21.379
Mn 5.454 2.944 14.651
Mn 5.475 3.071 7.847
Mn 5.462 3.186 1.114
Mn 8.184 4.512 16.887
Mn 8.199 4.754 3.353
Cu 8.195 4.634 10.105
O 2.733 2.955 11.294
O 1.506 2.507 0.098
O 3.887 3.651 15.536
O 2.708 3.124 4.504
O 3.880 2.204 20.375
O 1.569 0.556 4.353
O 5.470 4.453 20.245
O 4.397 4.012 9.151
O 3.941 3.866 2.141
O 5.433 4.537 13.449
O 3.860 2.368 6.934
O 4.333 2.020 13.284
O 5.443 4.711 6.734
O 7.006 5.372 18.186
O 6.503 5.279 11.070
O 8.181 5.999 22.440
O 7.000 3.542 22.305
O 6.650 3.849 15.852
O 5.437 1.299 15.673
O 4.292 0.886 4.645
O 6.619 1.900 20.115
O 5.423 1.528 8.992
O 6.642 4.042 2.443
O 7.043 3.615 8.803
O 5.461 1.593 2.306
O 7.052 2.345 13.658
O 6.591 2.204 6.494
O 8.187 2.910 18.038
O 6.564 0.775 11.522
O 9.707 5.197 17.883
```

Most intense lines, 2θ = 10–90°, sorted by position:
d [Å]  intensity
2.766  100
2.740  53
2.251  24
1.975  19
1.937  33
1.602  21
1.587  35
1.383  10
1.370  9
1.225  9

5.
Diffraction record for Li3Ni8O4F12. The PXRD pattern is calculated, not measured: it uses a cell relaxed with PBE+U and Cu Kα X-rays.
Intensities are scaled so that the largest is 100.

Structure:
```
27
Lattice="5.266 -2.930 0.000 5.266 2.930 0.000 -3.809 0.000 9.490" Properties=species:S:1:pos:R:3 pbc="T T T"
Li 0.000 0.000 0.000
Li -0.163 0.000 5.458
Li 6.886 0.000 4.033
Ni 2.633 1.465 0.000
Ni 4.257 1.445 2.336
Ni 1.692 0.000 2.494
Ni 2.465 1.445 7.155
Ni 2.633 -1.465 0.000
Ni 4.257 -1.445 2.336
Ni 5.031 0.000 6.996
Ni 2.465 -1.445 7.155
O -2.091 0.000 8.422
O 3.279 0.000 1.234
O 3.443 0.000 8.256
O 8.814 0.000 1.068
F 0.668 1.560 8.228
F -0.112 0.000 3.497
F 2.598 1.445 3.472
F 6.055 1.560 1.263
F 4.125 1.445 6.018
F 1.629 0.000 6.081
F 5.094 0.000 3.409
F 2.598 -1.445 3.472
F 0.668 -1.560 8.228
F 4.125 -1.445 6.018
F 6.835 0.000 5.993
F 6.055 -1.560 1.263
```

Most intense lines, 2θ = 10–90°, sorted by position:
d [Å]  intensity
4.842  34
4.745  57
4.297  35
2.906  17
2.513  27
2.420  18
2.149  57
2.063  100
1.505  32
1.472  29

6.
Diffraction record for LiFe2Cl2O2. The PXRD pattern is calculated, not measured: it uses a cell relaxed with PBE+U and Cu Kα X-rays.
Intensities are scaled so that the largest is 100.

Structure:
```
42
Lattice="5.291 0.000 0.000 0.000 24.218 0.000 -0.718 0.000 5.258" Properties=species:S:1:pos:R:3 pbc="T T T"
Li -0.180 0.524 1.314
Li -0.539 23.694 3.943
Li 2.466 7.612 1.314
Li 2.107 8.599 3.943
Li 2.466 15.619 1.314
Li 2.107 16.606 3.943
Fe -0.539 3.349 3.943
Fe -0.180 4.684 1.314
Fe -0.539 11.261 3.943
Fe -0.180 12.957 1.314
Fe -0.539 19.534 3.943
Fe -0.180 20.869 1.314
Fe 2.466 3.185 1.314
Fe 2.107 4.892 3.943
Fe 2.466 11.425 1.314
Fe 2.107 12.793 3.943
Fe 2.466 19.326 1.314
Fe 2.107 21.033 3.943
Cl 0.892 6.762 2.685
Cl 1.251 17.455 0.056
Cl 1.285 9.411 0.164
Cl 0.926 14.806 2.793
Cl 0.641 1.324 5.088
Cl 1.000 22.894 2.459
Cl 3.573 1.324 2.799
Cl 3.932 22.894 0.170
Cl 3.647 9.411 2.465
Cl 3.288 14.806 5.094
Cl 3.322 6.762 5.202
Cl 3.681 17.455 2.573
O 0.886 3.555 2.569
O 0.525 4.487 5.206
O 0.884 19.731 2.577
O 0.526 20.663 5.198
O 1.049 11.631 2.706
O 1.408 12.587 0.077
O 3.165 11.631 5.181
O 3.524 12.587 2.552
O 4.047 3.555 0.060
O 3.689 4.487 2.681
O 4.049 19.731 0.052
O 3.688 20.663 2.689
```

Most intense lines, 2θ = 10–90°, sorted by position:
d [Å]  intensity
8.073  100
3.579  51
2.637  66
2.496  28
2.231  7
2.130  16
1.996  17
1.742  11
1.593  11
1.590  12

7.
Diffraction record for SrCoGe4O12. The PXRD pattern is calculated, not measured: it uses a cell relaxed with PBE+U and Cu Kα X-rays.
Intensities are scaled so that the largest is 100.

Structure:
```
18
Lattice="5.318 0.000 0.000 0.000 5.318 0.000 0.000 0.000 7.460" Properties=species:S:1:pos:R:3 pbc="T T T"
Sr 0.000 0.000 0.000
Co 2.659 2.659 3.730
Ge 0.000 2.659 1.883
Ge 0.000 2.659 5.577
Ge 2.659 0.000 1.883
Ge 2.659 0.000 5.577
O 0.000 2.659 0.000
O 0.000 2.659 3.730
O 1.372 1.372 1.967
O 1.372 1.372 5.492
O 1.372 3.946 1.967
O 1.372 3.946 5.492
O 2.659 0.000 0.000
O 2.659 0.000 3.730
O 3.946 1.372 1.967
O 3.946 1.372 5.492
O 3.946 3.946 1.967
O 3.946 3.946 5.492
```

Most intense lines, 2θ = 10–90°, sorted by position:
d [Å]  intensity
4.331  56
3.761  42
3.730  20
2.659  51
2.648  100
1.880  48
1.865  23
1.533  39
1.527  20
1.324  26